Entry 1:
The following is a theoretical powder diffractogram of CsW3Cl7. It was derived from a PBE-relaxed structure, using Cu Kα.

Peak list (10 most intense, 2θ = 15–90°, in order of rising 2θ)
| hkl | d/Å | 2theta | Rel. int. |
| --- | --- | --- | --- |
| 1 0 2 | 5.812 | 15.2 | 100 |
| 1 1 0 | 5.009 | 17.7 | 33 |
| 2 1 1 | 3.210 | 27.8 | 30 |
| 2 1 3 | 2.777 | 32.2 | 33 |
| 2 2 2 | 2.385 | 37.7 | 34 |
| 3 1 1 | 2.378 | 37.8 | 27 |
| 3 1 3 | 2.185 | 41.3 | 33 |
| 1 0 7 | 2.166 | 41.7 | 29 |
| 4 -2 4 | 2.110 | 42.9 | 58 |
| 3 2 3 | 1.860 | 49.0 | 38 |

Crystal structure
Cell: 10.0179 10.0179 15.6578 Å, 90.00 90.00 120.00°
Space group P31c (No. 159)
Asymmetric unit:
Cs 0.0000 0.0000 0.0000 x2
Cs 0.3333 0.6667 0.2206 x2
W 0.1780 0.6599 0.6775 x6
W 0.1831 0.5124 0.8144 x6
Cl 0.0234 0.3315 0.3989 x6
Cl 0.0352 0.6810 0.0928 x6
Cl 0.0401 0.6610 0.8133 x6
Cl 0.0507 0.3686 0.6785 x6
Cl 0.3333 0.6667 0.5498 x2
Cl 0.3333 0.6667 0.9418 x2


Entry 2:
The following is a theoretical powder diffractogram of Cs2W3Cl9. It was derived from a PBE-relaxed structure, using Cu Kα.

Peak list (10 most intense, 2θ = 15–90°, in order of rising 2θ)
| hkl | d/Å | 2theta | Rel. int. |
| --- | --- | --- | --- |
| 2 0 -1 | 5.504 | 16.1 | 63 |
| 1 1 1 | 5.132 | 17.3 | 78 |
| 1 3 0 | 5.022 | 17.7 | 89 |
| 1 1 -2 | 4.880 | 18.2 | 58 |
| 1 3 -2 | 3.844 | 23.1 | 72 |
| 2 0 1 | 3.568 | 25.0 | 77 |
| 2 4 1 | 2.776 | 32.2 | 90 |
| 1 5 2 | 2.468 | 36.4 | 95 |
| 4 0 -4 | 2.273 | 39.7 | 79 |
| 2 6 2 | 1.983 | 45.8 | 100 |

Crystal structure
Cell: 11.032 17.648 10.161 Å, 90.00 119.05 90.00°
Space group C2/m (No. 12)
Asymmetric unit:
Cs 0.125 0.154 0.327 x8
W 0.112 0.500 0.893 x4
W 0.134 0.415 0.121 x8
Cl 0.000 0.303 0.000 x4
Cl 0.036 0.404 0.294 x8
Cl 0.195 0.000 0.686 x4
Cl 0.201 0.186 0.701 x8
Cl 0.208 0.097 0.983 x8
Cl 0.221 0.500 0.723 x4